Diffraction record for Li3Co2Si2O8. The powder diffraction line list is calculated, not measured: it uses DFT lattice parameters and positions (GGA+U) and λ = 1.5418 Å (Cu Kα).
Neutral-atom scattering factors, no anomalous dispersion.

Principal peaks in the range 2θ from 10° to 90°, in order of falling intensity:
22.1 deg, d 4.015, I = 100, (1 1 0)
21.7 deg, d 4.099, I = 97, (1 0 -2)
32.3 deg, d 2.768, I = 45, (2 0 2)
35.2 deg, d 2.552, I = 41, (0 2 0)
33.9 deg, d 2.641, I = 31, (0 0 4)
33.8 deg, d 2.652, I = 26, (2 1 -1)

Cell: 6.500 5.105 10.565 Å, 90.00 90.01 90.00°
Space group Pc (No. 7)
Unique sites:
Li1 0.000 0.043 0.000 [2 per cell]
Li2 0.251 0.439 0.909 [2 per cell]
Li3 0.738 0.065 0.235 [2 per cell]
Co1 0.251 0.070 0.237 [2 per cell]
Co2 0.737 0.437 0.912 [2 per cell]
Si1 0.491 0.060 0.488 [2 per cell]
Si2 0.989 0.435 0.669 [2 per cell]
O1 0.191 0.446 0.238 [2 per cell]
O2 0.280 0.050 0.919 [2 per cell]
O3 0.495 0.002 0.138 [2 per cell]
O4 0.504 0.378 0.457 [2 per cell]
O5 0.702 0.067 0.919 [2 per cell]
O6 0.784 0.456 0.247 [2 per cell]
O7 0.972 0.458 0.019 [2 per cell]
O8 0.993 0.112 0.668 [2 per cell]